1.
Ti3NbAl2: simulated powder X-ray diffraction pattern (Cu Kα), based on a DFT-relaxed cell (GGA-PBE, the Materials Project).
Intensities are scaled so that the largest is 100.

Top 10 peaks for 10 to 90 degrees two-theta, by intensity:
39.85 deg, I = 100, (0 1 2)
39.23 deg, I = 94, (1 1 0)
57.15 deg, I = 33, (2 0 2)
71.52 deg, I = 32, (1 2 2)
22.35 deg, I = 23, (1 0 0)
27.67 deg, I = 17, (0 1 1)
71.10 deg, I = 15, (3 0 0)
81.59 deg, I = 15, (1 1 4)
16.11 deg, I = 12, (0 0 1)
84.35 deg, I = 9, (2 2 0)

Structural model:
Cell lengths 4.5930, 4.5930, 5.5014 Å; angles 90.00, 90.00, 120.00 degrees
Space group P-3m1 (No. 164)
Symmetry-distinct sites (fractional):
Ti 0.0000 0.0000 0.0000 [1 per cell]
Ti 0.3333 0.6667 0.7170 [2 per cell]
Nb 0.0000 0.0000 0.5000 [1 per cell]
Al 0.3333 0.6667 0.2247 [2 per cell]

---

2.
Ti2NbAl: simulated powder X-ray diffraction pattern (Cu Kα), based on a DFT-relaxed cell (GGA-PBE, the Materials Project).
Intensities are scaled so that the largest is 100.

Top 10 peaks for 10 to 90 degrees two-theta, by intensity:
40.22 deg, I = 100, (2 2 1)
38.51 deg, I = 32, (0 0 2)
25.83 deg, I = 24, (1 1 1)
37.85 deg, I = 22, (0 4 0)
70.82 deg, I = 17, (2 2 3)
17.35 deg, I = 17, (1 1 0)
55.10 deg, I = 14, (0 4 2)
42.67 deg, I = 13, (0 4 1)
37.35 deg, I = 10, (1 3 1)
74.65 deg, I = 8, (4 0 2)

Structural model:
Cell lengths 6.061, 9.509, 4.675 Å; angles 90.00, 90.00, 90.00 degrees
Space group Cmcm (No. 63)
Symmetry-distinct sites (fractional):
Ti 0.234 0.097 0.250 [8 per cell]
Nb 0.000 0.363 0.250 [4 per cell]
Al 0.000 0.165 0.750 [4 per cell]

---

3.
Ti4Nb3Al9: simulated powder X-ray diffraction pattern (Cu Kα), based on a DFT-relaxed cell (GGA-PBE, the Materials Project).
Intensities are scaled so that the largest is 100.

Top 10 peaks for 10 to 90 degrees two-theta, by intensity:
38.63 deg, I = 100, (2 0 2)
45.17 deg, I = 31, (2 2 0)
78.97 deg, I = 23, (4 2 2)
65.18 deg, I = 20, (2 2 4)
21.77 deg, I = 18, (0 0 2)
44.37 deg, I = 17, (0 0 4)
31.51 deg, I = 14, (2 0 0)
77.83 deg, I = 12, (2 0 6)
82.83 deg, I = 10, (4 0 4)
65.79 deg, I = 10, (4 0 0)

Structural model:
Cell lengths 5.678, 5.678, 8.166 Å; angles 90.00, 90.00, 90.00 degrees
Space group P4/mmm (No. 123)
Symmetry-distinct sites (fractional):
Ti 0.000 0.000 0.000 [1 per cell]
Ti 0.000 0.500 0.500 [2 per cell]
Ti 0.500 0.500 0.000 [1 per cell]
Nb 0.000 0.000 0.500 [1 per cell]
Nb 0.000 0.500 0.000 [2 per cell]
Al 0.249 0.249 0.250 [8 per cell]
Al 0.500 0.500 0.500 [1 per cell]

---

4.
NbAlV2: simulated powder X-ray diffraction pattern (Cu Kα), based on a DFT-relaxed cell (GGA-PBE, the Materials Project).
Intensities are scaled so that the largest is 100.

Top 10 peaks for 10 to 90 degrees two-theta, by intensity:
40.67 deg, I = 100, (1 1 2)
10.12 deg, I = 30, (0 0 1)
40.56 deg, I = 26, (0 2 0)
41.30 deg, I = 22, (0 0 4)
20.31 deg, I = 16, (0 0 2)
73.87 deg, I = 15, (1 3 2)
59.27 deg, I = 14, (0 2 4)
74.87 deg, I = 12, (1 1 6)
36.38 deg, I = 9, (1 1 1)
88.06 deg, I = 9, (2 2 4)

Structural model:
Cell lengths 3.157, 4.448, 8.744 Å; angles 90.00, 90.00, 90.00 degrees
Space group Cmm2 (No. 35)
Symmetry-distinct sites (fractional):
Nb 0.000 0.000 0.000 [2 per cell]
Al 0.000 0.500 0.730 [2 per cell]
V 0.000 0.000 0.486 [2 per cell]
V 0.000 0.500 0.266 [2 per cell]